Computed PXRD pattern
Compound: InAg2Te
Radiation: Cu Kα, 1.54184 Å
Structure: the GGA-PBE geometry in Alexandria
Lines closer than 0.1° are merged.

Structural model:
a b c (Å): 5.9129 5.9129 3.1408
angles (deg): 104.89 104.89 104.81
Fractional positions:
In1 0.0000 0.0000 0.0000
Ag1 0.0000 0.5000 0.0000
Ag2 0.5000 0.0000 0.0000
Te1 0.5000 0.5000 0.0000

Peak list (10 most intense, 10° ≤ 2θ ≤ 90°, most intense first)
2θ 33.40, intensity 1000; 2θ 37.27, intensity 738; 2θ 31.40, intensity 590; 2θ 38.43, intensity 339; 2θ 50.44, intensity 302; 2θ 54.48, intensity 237; 2θ 62.37, intensity 155; 2θ 51.38, intensity 143; 2θ 65.95, intensity 131; 2θ 66.32, intensity 129


Computed PXRD pattern
Compound: NdHo5Ir6
Radiation: Cu Kα, 1.54184 Å
Structure: the GGA-PBE geometry in Alexandria
Lines closer than 0.1° are merged.

Structural model:
a b c (Å): 7.8079 7.8079 6.6507
angles (deg): 90.00 90.00 143.14
Fractional positions:
Nd1 0.0000 0.0000 0.0000
Ho1 0.0000 0.0000 0.5000
Ho2 0.3324 0.6676 0.0000
Ho3 0.3333 0.6667 0.5000
Ho4 0.6667 0.3333 0.5000
Ho5 0.6676 0.3324 0.0000
Ir1 0.1695 0.8305 0.2527
Ir2 0.1695 0.8305 0.7473
Ir3 0.5000 0.5000 0.2569
Ir4 0.5000 0.5000 0.7431
Ir5 0.8305 0.1695 0.2527
Ir6 0.8305 0.1695 0.7473

Peak list (10 most intense, 10° ≤ 2θ ≤ 90°, most intense first)
2θ 37.35, intensity 1000; 2θ 36.39, intensity 537; 2θ 66.11, intensity 380; 2θ 52.42, intensity 191; 2θ 67.98, intensity 175; 2θ 79.63, intensity 113; 2θ 88.58, intensity 90; 2θ 89.15, intensity 89; 2θ 55.25, intensity 81; 2θ 77.30, intensity 61


Computed PXRD pattern
Compound: RbHg3Br3
Radiation: Cu Kα, 1.54184 Å
Structure: the GGA-PBE geometry in Alexandria
Lines closer than 0.1° are merged.

Structural model:
a b c (Å): 8.7532 8.7532 8.7532
angles (deg): 90.00 90.00 90.00
Fractional positions:
Rb1 0.0000 0.0000 0.0000
Rb2 0.5000 0.5000 0.5000
Hg1 0.0000 0.2500 0.5000
Hg2 0.0000 0.7500 0.5000
Hg3 0.2500 0.5000 0.0000
Hg4 0.5000 0.0000 0.2500
Hg5 0.5000 0.0000 0.7500
Hg6 0.7500 0.5000 0.0000
Br1 0.0000 0.5000 0.2500
Br2 0.0000 0.5000 0.7500
Br3 0.2500 0.0000 0.5000
Br4 0.5000 0.2500 0.0000
Br5 0.5000 0.7500 0.0000
Br6 0.7500 0.0000 0.5000

Peak list (10 most intense, 10° ≤ 2θ ≤ 90°, most intense first)
2θ 24.92, intensity 1000; 2θ 38.48, intensity 642; 2θ 35.53, intensity 567; 2θ 14.31, intensity 490; 2θ 22.72, intensity 482; 2θ 41.25, intensity 424; 2θ 20.29, intensity 409; 2θ 59.76, intensity 285; 2θ 71.49, intensity 227; 2θ 65.76, intensity 200